For Mn3Ni20P6, a DFT-relaxed cell (GGA-PBE, the Materials Project) gives the computed powder XRD pattern in this record (Cu Kα).
Kinematic intensities with the Lorentz-polarization factor, no thermal factor.

Atomic structure:
abc: 7.758 7.758 7.758
angles: 60.00 60.00 60.00
Fractional positions:
1 Mn 0.000 0.000 0.000
2 Mn 0.250 0.250 0.250
3 Mn 0.750 0.750 0.750
4 Ni 0.000 0.000 0.348
5 Ni 0.000 0.000 0.652
6 Ni 0.000 0.348 0.000
7 Ni 0.000 0.348 0.652
8 Ni 0.000 0.652 0.000
9 Ni 0.000 0.652 0.348
10 Ni 0.139 0.620 0.620
11 Ni 0.348 0.000 0.000
12 Ni 0.348 0.000 0.652
13 Ni 0.348 0.652 0.000
14 Ni 0.380 0.380 0.380
15 Ni 0.380 0.380 0.861
16 Ni 0.380 0.861 0.380
17 Ni 0.620 0.139 0.620
18 Ni 0.620 0.620 0.139
19 Ni 0.620 0.620 0.620
20 Ni 0.652 0.000 0.000
21 Ni 0.652 0.000 0.348
22 Ni 0.652 0.348 0.000
23 Ni 0.861 0.380 0.380
24 P 0.264 0.264 0.736
25 P 0.264 0.736 0.264
26 P 0.264 0.736 0.736
27 P 0.736 0.264 0.264
28 P 0.736 0.264 0.736
29 P 0.736 0.736 0.264

Most intense lines, 2θ = 5–70°, sorted by position:
22.93 deg, d 3.879, intensity 5
26.95 deg, d 3.308, intensity 2
36.63 deg, d 2.453, intensity 13
40.27 deg, d 2.239, intensity 18
42.83 deg, d 2.111, intensity 100
46.84 deg, d 1.939, intensity 34
49.13 deg, d 1.854, intensity 32
49.87 deg, d 1.829, intensity 16
55.56 deg, d 1.654, intensity 15
68.41 deg, d 1.371, intensity 5



For Mn3NiP2, a DFT-relaxed cell (GGA-PBE, the Materials Project) gives the computed powder XRD pattern in this record (Cu Kα).
Kinematic intensities with the Lorentz-polarization factor, no thermal factor.

Atomic structure:
abc: 3.471 6.811 5.881
angles: 90.00 90.00 90.00
Fractional positions:
1 Mn 0.000 0.082 0.000
2 Mn 0.000 0.311 0.605
3 Mn 0.000 0.689 0.105
4 Mn 0.000 0.918 0.500
5 Mn 0.500 0.413 0.937
6 Mn 0.500 0.587 0.437
7 Ni 0.500 0.182 0.319
8 Ni 0.500 0.818 0.819
9 P 0.000 0.383 0.232
10 P 0.000 0.617 0.732
11 P 0.500 0.127 0.704
12 P 0.500 0.873 0.204

Most intense lines, 2θ = 5–70°, sorted by position:
40.16 deg, d 2.246, intensity 100
40.53 deg, d 2.226, intensity 6
42.42 deg, d 2.131, intensity 49
42.69 deg, d 2.118, intensity 20
47.88 deg, d 1.900, intensity 19
48.32 deg, d 1.884, intensity 20
50.48 deg, d 1.808, intensity 13
50.81 deg, d 1.797, intensity 7
52.75 deg, d 1.735, intensity 26
53.97 deg, d 1.699, intensity 12



For MnNiP, a DFT-relaxed cell (GGA-PBE, the Materials Project) gives the computed powder XRD pattern in this record (Cu Kα).
Kinematic intensities with the Lorentz-polarization factor, no thermal factor.

Atomic structure:
abc: 5.843 3.437 6.752
angles: 90.00 90.00 90.00
Fractional positions:
1 Mn 0.031 0.250 0.159
2 Mn 0.469 0.750 0.659
3 Mn 0.531 0.250 0.341
4 Mn 0.969 0.750 0.841
5 Ni 0.139 0.250 0.565
6 Ni 0.361 0.750 0.065
7 Ni 0.639 0.250 0.935
8 Ni 0.861 0.750 0.435
9 P 0.241 0.750 0.370
10 P 0.259 0.250 0.870
11 P 0.741 0.750 0.130
12 P 0.759 0.250 0.630

Most intense lines, 2θ = 5–70°, sorted by position:
40.52 deg, d 2.226, intensity 100
42.77 deg, d 2.114, intensity 41
43.07 deg, d 2.100, intensity 19
48.34 deg, d 1.883, intensity 15
48.65 deg, d 1.871, intensity 18
49.02 deg, d 1.858, intensity 7
50.96 deg, d 1.792, intensity 13
51.24 deg, d 1.783, intensity 7
53.31 deg, d 1.718, intensity 24
54.37 deg, d 1.687, intensity 18



For MnNiP, a DFT-relaxed cell (GGA-PBE, the Materials Project) gives the computed powder XRD pattern in this record (Cu Kα).
Kinematic intensities with the Lorentz-polarization factor, no thermal factor.

Atomic structure:
abc: 3.756 3.756 3.756
angles: 60.00 60.00 60.00
Fractional positions:
1 Mn 0.000 0.000 0.000
2 Ni 0.750 0.750 0.750
3 P 0.500 0.500 0.500

Most intense lines, 2θ = 5–70°, sorted by position:
29.12 deg, d 3.067, intensity 62
33.75 deg, d 2.656, intensity 3
48.48 deg, d 1.878, intensity 100
57.55 deg, d 1.601, intensity 25
60.37 deg, d 1.533, intensity 1